Record 1
Calculated powder diffractogram of Ti4SiTc3 for Cu Kα (λ = 1.5418 Å), from a cell relaxed with GGA-PBE.
No peak broadening, texture or thermal motion is included.

abc: 3.183 4.296 8.703
angles: 90.00 90.00 90.00
Space group Pmmm (No. 47)
Unique sites:
Ti1 0.000 0.000 0.000 (multiplicity 1)
Ti2 0.000 0.000 0.500 (multiplicity 1)
Ti3 0.000 0.500 0.246 (multiplicity 2)
Si1 0.500 0.500 0.500 (multiplicity 1)
Tc1 0.500 0.000 0.259 (multiplicity 2)
Tc2 0.500 0.500 0.000 (multiplicity 1)

Principal peaks in the range 2θ from 5° to 70°, low angle first:
- hkl 0 0 1, 10.16°, 8.703 Å, rel. 10
- hkl 0 1 1, 23.09°, 3.852 Å, rel. 6
- hkl 1 0 0, 28.03°, 3.183 Å, rel. 5
- hkl 0 1 2, 29.21°, 3.057 Å, rel. 9
- hkl 1 1 1, 36.62°, 2.454 Å, rel. 3
- hkl 1 1 2, 40.93°, 2.205 Å, rel. 100
- hkl 0 0 4, 41.50°, 2.176 Å, rel. 24
- hkl 0 2 0, 42.07°, 2.148 Å, rel. 25
- hkl 2 0 0, 57.95°, 1.591 Å, rel. 9
- hkl 0 2 4, 60.58°, 1.529 Å, rel. 15

=====

Record 2
Calculated powder diffractogram of Nb3Cu2S6 for Cu Kα (λ = 1.5418 Å), from a cell relaxed with GGA-PBE.
No peak broadening, texture or thermal motion is included.

abc: 5.862 3.384 40.678
angles: 90.00 90.00 90.00
Space group Cm (No. 8)
Unique sites:
Nb1 0.000 0.000 0.000 (multiplicity 2)
Nb2 0.000 0.000 0.328 (multiplicity 2)
Nb3 0.166 0.500 0.487 (multiplicity 2)
Nb4 0.167 0.500 0.164 (multiplicity 2)
Nb5 0.167 0.500 0.836 (multiplicity 2)
Nb6 0.499 0.500 0.675 (multiplicity 2)
Cu1 0.166 0.500 0.560 (multiplicity 2)
Cu2 0.167 0.500 0.235 (multiplicity 2)
Cu3 0.167 0.500 0.907 (multiplicity 2)
Cu4 0.499 0.500 0.602 (multiplicity 2)
S1 0.000 0.000 0.127 (multiplicity 2)
S2 0.000 0.000 0.204 (multiplicity 2)
S3 0.000 0.000 0.798 (multiplicity 2)
S4 0.000 0.000 0.876 (multiplicity 2)
S5 0.166 0.500 0.636 (multiplicity 2)
S6 0.166 0.500 0.713 (multiplicity 2)
S7 0.167 0.500 0.037 (multiplicity 2)
S8 0.167 0.500 0.290 (multiplicity 2)
S9 0.167 0.500 0.366 (multiplicity 2)
S10 0.167 0.500 0.961 (multiplicity 2)
S11 0.499 0.500 0.449 (multiplicity 2)
S12 0.499 0.500 0.526 (multiplicity 2)

Principal peaks in the range 2θ from 5° to 70°, low angle first:
- hkl 0 0 3, 6.52°, 13.559 Å, rel. 100
- hkl 0 0 6, 13.06°, 6.780 Å, rel. 74
- hkl 1 1 0, 30.50°, 2.931 Å, rel. 78
- hkl 1 1 -3, 31.22°, 2.865 Å, rel. 41
- hkl 2 0 -6, 33.31°, 2.690 Å, rel. 16
- hkl 1 1 9, 36.54°, 2.459 Å, rel. 54
- hkl 1 1 10, 37.83°, 2.378 Å, rel. 15
- hkl 1 1 -12, 40.70°, 2.217 Å, rel. 22
- hkl 2 0 -15, 45.57°, 1.990 Å, rel. 89
- hkl 3 1 0, 54.20°, 1.692 Å, rel. 54